For La3PaS4, a structure optimized by DFT (PBE) gives the theoretical X-ray diffraction stick pattern in this record (CuKα).
Peak positions follow from Bragg's law for the DFT cell and can differ from measured ones.

Crystal structure
Cell: 7.102 8.170 7.058 Å, 90.00 109.38 90.00°
Space group P2/c (No. 13)
Inequivalent atoms, fractional coordinates:
La  0.000  0.124  0.250
La  0.000  0.373  0.750
La  0.500  0.373  0.250
Pa  0.500  0.121  0.750
S  0.258  0.367  0.508
S  0.262  0.119  0.999

Top 10 peaks for 10 to 90 degrees two-theta, sorted by position:
| Position (°2θ) | d/Å | I (rel.) | hkl |
| --- | --- | --- | --- |
| 26.61 | 3.349 | 20 | 2 0 0 |
| 26.74 | 3.333 | 61 | 0 0 2 |
| 30.94 | 2.890 | 100 | 1 2 1 |
| 44.24 | 2.047 | 37 | 2 0 2 |
| 44.41 | 2.040 | 36 | 1 2 -3 |
| 52.41 | 1.746 | 17 | 3 2 1 |
| 52.55 | 1.741 | 20 | 1 2 3 |
| 55.06 | 1.668 | 13 | 2 4 -2 |
| 64.48 | 1.445 | 12 | 4 0 -4 |
| 73.11 | 1.294 | 16 | 3 2 3 |